(1)
# CaMg2Al6O12
Computed powder XRD pattern, Cu Kα (λ = 1.5418 Å). Input: DFT lattice parameters and positions (GGA-PBE).
No peak broadening, texture or thermal motion is included.

Peak list (8 most intense, 2θ = 10–90°, by intensity)
2θ (°), d (Å), Rel. int., hkl
35.2, 2.550, 100.0, 3 0 0
44.8, 2.023, 90.9, 2 1 1
52.6, 1.741, 54.0, 2 2 1
64.8, 1.438, 52.4, 4 1 1
37.7, 2.383, 40.9, 1 1 1
42.6, 2.122, 34.8, 1 3 0
63.2, 1.472, 31.1, 3 3 0
54.0, 1.698, 27.2, 3 1 1

Cell and atoms:
```
data_CaMg2Al6O12
_space_group_name_H-M_alt 'P -6'
_space_group_IT_number 174
_cell_length_a 8.8332
_cell_length_b 8.8332
_cell_length_c 2.8309
_cell_angle_alpha 90.00
_cell_angle_beta 90.00
_cell_angle_gamma 120.00
loop_
_space_group_symop_operation_xyz
'x,y,z'
'-x+y,-x,-z'
'-y,x-y,z'
'x,y,-z'
'-x+y,-x,z'
'-y,x-y,-z'
loop_
_atom_site_label
_atom_site_type_symbol
_atom_site_fract_x
_atom_site_fract_y
_atom_site_fract_z
Ca1 Ca 0.0000 0.0000 0.0000
Mg1 Mg 0.3333 0.6667 0.5000
Mg2 Mg 0.6667 0.3333 0.0000
Al1 Al 0.0091 0.6547 0.5000
Al2 Al 0.3566 0.0126 0.0000
O1 O 0.1016 0.2915 0.5000
O2 O 0.1317 0.5984 0.0000
O3 O 0.3095 0.2007 0.0000
O4 O 0.5312 0.1296 0.5000
```



(2)
# Ca2MgAl2Si3O12
Computed powder XRD pattern, Cu Kα (λ = 1.5418 Å). Input: DFT lattice parameters and positions (GGA-PBE).
No peak broadening, texture or thermal motion is included.

Peak list (8 most intense, 2θ = 10–90°, by intensity)
2θ (°), d (Å), Rel. int., hkl
35.0, 2.566, 100.0, 2 0 0
29.7, 3.009, 95.7, 1 2 0
29.8, 2.998, 83.5, 1 0 2
30.7, 2.917, 72.7, 1 1 2
30.3, 2.947, 52.2, 0 2 1
35.9, 2.504, 40.7, 1 -2 0
35.6, 2.523, 39.6, 1 0 -2
44.8, 2.023, 35.4, 1 -2 2

Cell and atoms:
```
data_Ca2MgAl2Si3O12
_space_group_name_H-M_alt 'P 1'
_space_group_IT_number 1
_cell_length_a 5.3519
_cell_length_b 6.5907
_cell_length_c 6.6013
_cell_angle_alpha 84.26
_cell_angle_beta 78.13
_cell_angle_gamma 77.45
loop_
_space_group_symop_operation_xyz
'x,y,z'
loop_
_atom_site_label
_atom_site_type_symbol
_atom_site_fract_x
_atom_site_fract_y
_atom_site_fract_z
Ca1 Ca 0.0000 0.0000 0.0000
Ca2 Ca 0.4979 0.3920 0.6090
Mg1 Mg 0.9890 0.6086 0.4027
Al1 Al 0.4905 0.7926 0.2230
Al2 Al 0.5230 0.8876 0.6965
Si1 Si 0.0239 0.0825 0.5080
Si2 Si 0.4700 0.3171 0.1183
Si3 Si 0.9644 0.5068 0.9333
O1 O 0.0548 0.5911 0.6999
O2 O 0.1271 0.8998 0.3376
O3 O 0.2334 0.3346 0.9830
O4 O 0.2444 0.0824 0.6504
O5 O 0.3879 0.5018 0.2801
O6 O 0.4217 0.8059 0.9554
O7 O 0.5591 0.0770 0.1994
O8 O 0.5950 0.7253 0.4877
O9 O 0.7365 0.3635 0.9454
O10 O 0.7668 0.0355 0.6814
O11 O 0.8627 0.6785 0.1103
O12 O 0.9270 0.3123 0.4073
```



What did the first record say?
# CaMg2Al6O12
Computed powder XRD pattern, Cu Kα (λ = 1.5418 Å). Input: DFT lattice parameters and positions (GGA-PBE).
No peak broadening, texture or thermal motion is included.

Peak list (8 most intense, 2θ = 10–90°, by intensity)
2θ (°), d (Å), Rel. int., hkl
35.2, 2.550, 100.0, 3 0 0
44.8, 2.023, 90.9, 2 1 1
52.6, 1.741, 54.0, 2 2 1
64.8, 1.438, 52.4, 4 1 1
37.7, 2.383, 40.9, 1 1 1
42.6, 2.122, 34.8, 1 3 0
63.2, 1.472, 31.1, 3 3 0
54.0, 1.698, 27.2, 3 1 1

Cell and atoms:
```
data_CaMg2Al6O12
_space_group_name_H-M_alt 'P -6'
_space_group_IT_number 174
_cell_length_a 8.8332
_cell_length_b 8.8332
_cell_length_c 2.8309
_cell_angle_alpha 90.00
_cell_angle_beta 90.00
_cell_angle_gamma 120.00
loop_
_space_group_symop_operation_xyz
'x,y,z'
'-x+y,-x,-z'
'-y,x-y,z'
'x,y,-z'
'-x+y,-x,z'
'-y,x-y,-z'
loop_
_atom_site_label
_atom_site_type_symbol
_atom_site_fract_x
_atom_site_fract_y
_atom_site_fract_z
Ca1 Ca 0.0000 0.0000 0.0000
Mg1 Mg 0.3333 0.6667 0.5000
Mg2 Mg 0.6667 0.3333 0.0000
Al1 Al 0.0091 0.6547 0.5000
Al2 Al 0.3566 0.0126 0.0000
O1 O 0.1016 0.2915 0.5000
O2 O 0.1317 0.5984 0.0000
O3 O 0.3095 0.2007 0.0000
O4 O 0.5312 0.1296 0.5000
```